Diffraction record for NaPd. The XRD peak list is computed, not measured: it uses a structure optimized by DFT (GGA-PBE) and Cu Kα, 1.54184 Å.
No peak broadening, texture or thermal motion is included.

Largest 8 diffraction maxima, most intense first, 2θ from 15° to 90°:
d (Å)	intensity
4.619	1000
2.256	506
2.383	399
2.309	346
2.228	281
2.221	269
2.142	218
2.243	212

Structural model:
Lattice parameters (Å, degrees): 2.9006 5.2033 5.5583 116.29 105.02 90.39
Space group P-1 (No. 2)
One atom of each set of equivalent atoms:
Na  0.1200  0.4438  0.2288 [2 per cell]
Pd  0.3620  0.0182  0.7268 [2 per cell]

=====

Diffraction record for Pr2Sm2C2I2Br3. The XRD peak list is computed, not measured: it uses a structure optimized by DFT (GGA-PBE) and Cu Kα, 1.54184 Å.
No peak broadening, texture or thermal motion is included.

Largest 8 diffraction maxima, most intense first, 2θ from 15° to 90°:
d (Å)	intensity
2.892	1000
3.254	625
2.149	386
2.175	305
1.700	187
1.993	181
3.281	163
3.016	154

Structural model:
Lattice parameters (Å, degrees): 20.0503 3.9869 8.4061 90.00 103.14 90.00
Space group C2/m (No. 12)
One atom of each set of equivalent atoms:
Pr  0.0004  0.0000  0.2022 [4 per cell]
Sm  0.1502  0.5000  0.0943 [4 per cell]
C  0.0359  0.5000  0.0210 [4 per cell]
I  0.1695  0.0000  0.8169 [4 per cell]
Br  0.0000  0.5000  0.5000 [2 per cell]
Br  0.1579  0.0000  0.3520 [4 per cell]